Starting from a GGA-PBE-relaxed structure, the powder diffraction line list of KLiMnPt2 was calculated for Cu Kα (λ = 1.5418 Å).
Neutral-atom scattering factors, no anomalous dispersion.

Principal peaks in the range 10° ≤ 2θ ≤ 90°, most intense first:
2θ 16.57, d = 5.350 Å, I = 1000
2θ 32.01, d = 2.796 Å, I = 738
2θ 38.84, d = 2.318 Å, I = 397
2θ 42.49, d = 2.127 Å, I = 384
2θ 52.21, d = 1.752 Å, I = 314
2θ 27.20, d = 3.279 Å, I = 312
2θ 66.08, d = 1.414 Å, I = 294
2θ 58.94, d = 1.567 Å, I = 281
2θ 33.50, d = 2.675 Å, I = 278
2θ 43.67, d = 2.073 Å, I = 204

Atomic structure:
a b c (Å): 4.6371 4.6371 5.3502
angles (deg): 90.00 90.00 90.00
Space group P4/mmm (No. 123)
Unique sites:
K: 0.0000 0.0000 0.0000 x1
Li: 0.5000 0.5000 0.0000 x1
Mn: 0.0000 0.0000 0.5000 x1
Pt: 0.0000 0.5000 0.5000 x2